No. 1
For LaSmErCu, a DFT-relaxed cell (PBE, Alexandria) gives the calculated XRD peak list in this record (CuKα).

Most intense lines, 10° ≤ 2θ ≤ 90°, by angle:
d/Å	I/Imax	index
3.301	29	1 0 1
2.940	20	0 0 3
2.770	100	1 0 2
2.517	56	1 1 0
2.267	15	1 0 3
1.912	23	1 1 3
1.780	20	2 0 0
1.581	14	1 0 5
1.523	11	2 0 3
1.497	30	2 1 2

Crystal structure
Unit cell a=3.559 b=3.559 c=8.821 alpha=90.00 beta=90.00 gamma=90.00
Space group P4mm (No. 99)
One atom of each set of equivalent atoms:
La 0.000 0.000 0.000 x1
Sm 0.500 0.500 0.686 x1
Er 0.500 0.500 0.307 x1
Cu 0.000 0.000 0.482 x1

No. 2
For LiEr2Cu16, a DFT-relaxed cell (PBE, Alexandria) gives the calculated XRD peak list in this record (CuKα).

Most intense lines, 10° ≤ 2θ ≤ 90°, by angle:
d/Å	I/Imax	index
2.986	33	1 1 3
2.457	32	3 0 0
2.392	21	0 2 4
2.128	48	2 2 0
2.120	100	0 3 3
2.095	32	0 0 6
1.897	22	2 2 3
1.493	17	2 2 6
1.344	17	3 3 3
1.229	16	6 0 0

Crystal structure
Unit cell a=8.5120 b=8.5120 c=12.5728 alpha=90.00 beta=90.00 gamma=120.00
Space group R3m (No. 160, hexagonal axes)
One atom of each set of equivalent atoms:
Li 0.0000 0.0000 0.0000 x3
Er 0.0000 0.0000 0.4312 x3
Er 0.0000 0.0000 0.7437 x3
Cu 0.0000 0.0000 0.1926 x3
Cu 0.9998 0.3008 0.0948 x18
Cu 0.9996 0.4998 0.9390 x9
Cu 0.0039 0.5019 0.2490 x9
Cu 0.1676 0.3352 0.9278 x9

No. 3
For LiEr4Cu3, a DFT-relaxed cell (PBE, Alexandria) gives the calculated XRD peak list in this record (CuKα).

Most intense lines, 10° ≤ 2θ ≤ 90°, by angle:
d/Å	I/Imax	index
3.491	17	1 0 0
3.467	32	0 1 2
2.460	100	1 1 2
2.452	49	0 2 0
2.006	15	1 2 0
1.734	17	0 2 4
1.552	13	0 3 2
1.422	18	2 2 0
1.417	34	1 3 2
1.097	15	0 4 4

Crystal structure
Unit cell a=3.491 b=4.903 c=9.806 alpha=90.00 beta=90.00 gamma=90.00
Space group Pmmm (No. 47)
One atom of each set of equivalent atoms:
Li 0.000 0.000 0.000 x1
Er 0.500 0.000 0.260 x2
Er 0.500 0.500 0.000 x1
Er 0.500 0.500 0.500 x1
Cu 0.000 0.000 0.500 x1
Cu 0.000 0.500 0.242 x2